1.
# Rb2TbZn2O4
Theoretical powder diffraction line list, Cu Kα. Input: a GGA-PBE-relaxed structure.
No peak broadening, texture or thermal motion is included.

```
data_Rb2TbZn2O4
_chemical_formula_sum 'Rb4 Tb2 Zn4 O8'
_space_group_name_H-M_alt 'C 1 2/m 1'
_space_group_IT_number 12
_cell_length_a 14.4027
_cell_length_b 3.4162
_cell_length_c 6.9250
_cell_angle_alpha 90.00
_cell_angle_beta 108.69
_cell_angle_gamma 90.00
loop_
_space_group_symop_operation_xyz
'x,y,z'
'-x,-y,-z'
'-x,y,-z'
'x,-y,z'
'x+1/2,y+1/2,z'
'-x+1/2,-y+1/2,-z'
'-x+1/2,y+1/2,-z'
'x+1/2,-y+1/2,z'
loop_
_atom_site_label
_atom_site_type_symbol
_atom_site_fract_x
_atom_site_fract_y
_atom_site_fract_z
Rb1 Rb 0.1276 0.0000 0.0566
Tb1 Tb 0.0000 0.0000 0.5000
Zn1 Zn 0.1813 0.5000 0.5347
O1 O 0.0436 0.5000 0.3210
O2 O 0.1695 0.0000 0.6889
```

Main lines, by angle (2θ from 10° to 90°):
2θ/deg  Rel. int.
13.5  80
26.9  48
27.2  80
33.0  100
33.3  50
38.0  77
38.6  50
51.9  35

2.
# RbTc2O
Theoretical powder diffraction line list, Cu Kα. Input: a GGA-PBE-relaxed structure.
No peak broadening, texture or thermal motion is included.

a = 9.0184 Å, b = 9.0184 Å, c = 9.0184 Å
α = 90.00°, β = 90.00°, γ = 90.00°
Space group Fd-3m (No. 227, origin choice 2)
One atom of each set of equivalent atoms:
1 Rb 0.1250 0.1250 0.1250
2 Tc 0.0000 0.0000 0.5000
3 O 0.1250 0.1250 0.6250

Main lines, by angle (2θ from 10° to 90°):
2θ/deg  Rel. int.
17.0  22
28.0  37
32.9  100
34.4  53
52.7  35
57.8  39
69.1  20
82.1  22

3.
# RbTiTcO6
Theoretical powder diffraction line list, Cu Kα. Input: a GGA-PBE-relaxed structure.
No peak broadening, texture or thermal motion is included.

```
data_RbTiTcO6
_chemical_formula_sum 'Rb1 Ti1 Tc1 O6'
_space_group_name_H-M_alt 'P 3'
_space_group_IT_number 143
_cell_length_a 5.2442
_cell_length_b 5.2442
_cell_length_c 6.2905
_cell_angle_alpha 90.00
_cell_angle_beta 90.00
_cell_angle_gamma 120.00
loop_
_space_group_symop_operation_xyz
'x,y,z'
'-y,x-y,z'
'-x+y,-x,z'
loop_
_atom_site_label
_atom_site_type_symbol
_atom_site_fract_x
_atom_site_fract_y
_atom_site_fract_z
Rb1 Rb 0.0000 0.0000 0.0000
Ti1 Ti 0.3333 0.6667 0.4348
Tc1 Tc 0.6667 0.3333 0.5159
O1 O 0.3977 0.0072 0.6551
O2 O 0.4202 0.4034 0.3035
```

Main lines, by angle (2θ from 10° to 90°):
2θ/deg  Rel. int.
14.1  23
24.2  100
34.2  23
42.3  15
45.0  35
47.8  12
55.5  18
60.1  10

4.
# RbTlTcO4
Theoretical powder diffraction line list, Cu Kα. Input: a GGA-PBE-relaxed structure.
No peak broadening, texture or thermal motion is included.

```
data_RbTlTcO4
_chemical_formula_sum 'Rb2 Tl2 Tc2 O8'
_space_group_name_H-M_alt 'P 1 21/m 1'
_space_group_IT_number 11
_cell_length_a 5.4794
_cell_length_b 6.2407
_cell_length_c 9.1865
_cell_angle_alpha 90.00
_cell_angle_beta 100.47
_cell_angle_gamma 90.00
loop_
_space_group_symop_operation_xyz
'x,y,z'
'-x,-y,-z'
'-x,y+1/2,-z'
'x,-y+1/2,z'
loop_
_atom_site_label
_atom_site_type_symbol
_atom_site_fract_x
_atom_site_fract_y
_atom_site_fract_z
Rb1 Rb 0.1421 0.2500 0.1248
Tl1 Tl 0.2379 0.7500 0.5053
Tc1 Tc 0.4463 0.2500 0.7903
O1 O 0.1235 0.2500 0.7953
O2 O 0.3721 0.7500 0.0291
O3 O 0.4741 0.5265 0.3184
```

Main lines, by angle (2θ from 10° to 90°):
2θ/deg  Rel. int.
25.2  100
27.4  68
28.6  39
29.7  20
41.7  24
44.2  17
48.7  27
49.9  24